# SrMg2Be
Computed PXRD pattern, Cu Kα, 1.54184 Å. Input: a cell relaxed with GGA-PBE.

Atomic structure:
a = 3.875 Å, b = 4.408 Å, c = 6.512 Å
α = 90.00°, β = 107.16°, γ = 90.00°
Fractional positions:
Sr: 0.000 0.000 0.000
Mg: 0.283 0.500 0.571
Mg: 0.723 0.000 0.450
Be: 0.620 0.500 0.240

Principal peaks in the range 2θ from 5° to 70°, by angle:
(0 1 0), 4.408 Å, rel. 27; (1 0 0), 3.700 Å, rel. 29; (0 1 1), 3.597 Å, rel. 39; (0 0 2), 3.111 Å, rel. 25; (1 0 -2), 2.833 Å, rel. 100; (0 1 2), 2.542 Å, rel. 22; (1 1 1), 2.382 Å, rel. 29; (0 2 0), 2.204 Å, rel. 14; (1 1 2), 1.893 Å, rel. 17; (1 2 -2), 1.739 Å, rel. 18